TbMn12: computed X-ray diffraction stick pattern (Cu Kα (λ = 1.5418 Å)), based on a PBE-relaxed structure.
Intensities are scaled so that the largest is 100.

Atomic structure:
Lattice parameters (Å, degrees): 6.341 6.341 6.341 97.69 97.69 137.09
Element x y z (fractional)
Tb: 0.000 0.000 0.000
Mn: 0.000 0.000 0.500
Mn: 0.000 0.361 0.361
Mn: 0.000 0.500 0.000
Mn: 0.000 0.639 0.639
Mn: 0.271 0.500 0.771
Mn: 0.361 0.000 0.361
Mn: 0.500 0.000 0.000
Mn: 0.500 0.271 0.771
Mn: 0.500 0.500 0.500
Mn: 0.500 0.729 0.229
Mn: 0.639 0.000 0.639
Mn: 0.729 0.500 0.229

Most intense lines, 5° ≤ 2θ ≤ 70°, by angle:
two_theta, d (Å), I (rel.)
30.7, 2.908, 45
34.0, 2.639, 16
37.7, 2.386, 46
38.8, 2.319, 17
43.4, 2.086, 61
43.7, 2.071, 100
44.7, 2.027, 71
50.0, 1.823, 21



K2SbAu: computed X-ray diffraction stick pattern (Cu Kα (λ = 1.5418 Å)), based on a PBE-relaxed structure.
Intensities are scaled so that the largest is 100.

Atomic structure:
Lattice parameters (Å, degrees): 10.616 7.966 6.639 90.00 90.00 90.00
Element x y z (fractional)
K: 0.171 0.164 0.250
K: 0.171 0.836 0.750
K: 0.329 0.336 0.750
K: 0.329 0.664 0.250
K: 0.671 0.336 0.750
K: 0.671 0.664 0.250
K: 0.829 0.164 0.250
K: 0.829 0.836 0.750
Sb: 0.000 0.233 0.750
Sb: 0.000 0.767 0.250
Sb: 0.500 0.267 0.250
Sb: 0.500 0.733 0.750
Au: 0.000 0.500 0.000
Au: 0.000 0.500 0.500
Au: 0.500 0.000 0.000
Au: 0.500 0.000 0.500

Most intense lines, 5° ≤ 2θ ≤ 70°, by angle:
two_theta, d (Å), I (rel.)
13.9, 6.372, 100
16.7, 5.308, 95
27.6, 3.234, 41
30.4, 2.944, 66
30.8, 2.907, 44
34.8, 2.576, 32
35.2, 2.550, 53
39.2, 2.298, 55



CeMg12: computed X-ray diffraction stick pattern (Cu Kα (λ = 1.5418 Å)), based on a PBE-relaxed structure.
Intensities are scaled so that the largest is 100.

Atomic structure:
Lattice parameters (Å, degrees): 7.903 7.903 7.903 97.81 97.81 136.75
Element x y z (fractional)
Ce: 0.000 0.000 0.000
Mg: 0.000 0.000 0.500
Mg: 0.000 0.349 0.349
Mg: 0.000 0.500 0.000
Mg: 0.000 0.651 0.651
Mg: 0.284 0.500 0.784
Mg: 0.349 0.000 0.349
Mg: 0.500 0.000 0.000
Mg: 0.500 0.284 0.784
Mg: 0.500 0.500 0.500
Mg: 0.500 0.716 0.216
Mg: 0.651 0.000 0.651
Mg: 0.716 0.500 0.216

Most intense lines, 5° ≤ 2θ ≤ 70°, by angle:
two_theta, d (Å), I (rel.)
12.0, 7.347, 49
17.5, 5.081, 41
24.5, 3.633, 65
27.1, 3.286, 29
30.0, 2.977, 57
34.5, 2.598, 46
34.7, 2.583, 100
35.3, 2.541, 61



Na2UI6: computed X-ray diffraction stick pattern (Cu Kα (λ = 1.5418 Å)), based on a PBE-relaxed structure.
Intensities are scaled so that the largest is 100.

Atomic structure:
Lattice parameters (Å, degrees): 8.336 9.139 25.505 88.03 82.70 63.23
Element x y z (fractional)
Na: 0.000 0.000 0.000
Na: 0.001 0.501 0.501
Na: 0.230 0.753 0.798
Na: 0.236 0.245 0.298
Na: 0.502 0.251 0.751
Na: 0.728 0.506 0.047
Na: 0.731 0.003 0.548
Na: 0.761 0.268 0.207
U: 0.249 0.883 0.625
U: 0.254 0.386 0.125
U: 0.745 0.132 0.377
U: 0.748 0.633 0.875
I: 0.031 0.997 0.280
I: 0.038 0.495 0.780
I: 0.056 0.182 0.101
I: 0.061 0.686 0.601
I: 0.426 0.093 0.650
I: 0.439 0.584 0.151
I: 0.465 0.281 0.475
I: 0.468 0.778 0.974
I: 0.489 0.599 0.687
I: 0.493 0.920 0.818
I: 0.496 0.418 0.317
I: 0.499 0.101 0.186
I: 0.538 0.243 0.029
I: 0.540 0.743 0.530
I: 0.560 0.437 0.850
I: 0.565 0.938 0.352
I: 0.926 0.342 0.400
I: 0.926 0.842 0.900
I: 0.967 0.029 0.724
I: 0.971 0.515 0.223
I: 0.990 0.349 0.937
I: 0.992 0.847 0.437
I: 0.993 0.671 0.068
I: 0.994 0.170 0.568

Most intense lines, 5° ≤ 2θ ≤ 70°, by angle:
two_theta, d (Å), I (rel.)
11.5, 7.705, 94
14.6, 6.056, 50
24.5, 3.637, 99
25.1, 3.547, 95
25.6, 3.478, 100
31.8, 2.817, 51
37.6, 2.393, 51
41.0, 2.204, 70



SeN2Cl6: computed X-ray diffraction stick pattern (Cu Kα (λ = 1.5418 Å)), based on a PBE-relaxed structure.
Intensities are scaled so that the largest is 100.

Atomic structure:
Lattice parameters (Å, degrees): 6.981 6.981 6.981 60.00 60.00 60.00
Element x y z (fractional)
Se: 0.000 0.000 0.000
N: 0.250 0.250 0.250
N: 0.750 0.750 0.750
Cl: 0.234 0.234 0.766
Cl: 0.234 0.766 0.234
Cl: 0.234 0.766 0.766
Cl: 0.766 0.234 0.234
Cl: 0.766 0.234 0.766
Cl: 0.766 0.766 0.234

Most intense lines, 5° ≤ 2θ ≤ 70°, by angle:
two_theta, d (Å), I (rel.)
15.5, 5.700, 100
18.0, 4.936, 82
30.0, 2.977, 30
31.4, 2.850, 44
36.4, 2.468, 83
40.9, 2.207, 34
47.9, 1.900, 24
52.4, 1.745, 49



Mg2Si: computed X-ray diffraction stick pattern (Cu Kα (λ = 1.5418 Å)), based on a PBE-relaxed structure.
Intensities are scaled so that the largest is 100.

Atomic structure:
Lattice parameters (Å, degrees): 5.923 6.698 6.927 72.41 68.39 74.23
Element x y z (fractional)
Mg: 0.000 0.000 0.000
Mg: 0.017 0.441 0.112
Mg: 0.253 0.068 0.393
Mg: 0.350 0.626 0.305
Mg: 0.400 0.686 0.758
Mg: 0.695 0.133 0.426
Mg: 0.840 0.349 0.641
Mg: 0.900 0.759 0.726
Si: 0.269 0.316 0.699
Si: 0.491 0.053 0.935
Si: 0.568 0.338 0.060
Si: 0.771 0.734 0.372

Most intense lines, 5° ≤ 2θ ≤ 70°, by angle:
two_theta, d (Å), I (rel.)
34.7, 2.583, 100
35.6, 2.523, 94
36.0, 2.492, 57
36.4, 2.465, 36
37.9, 2.373, 26
38.5, 2.337, 40
40.2, 2.245, 48
43.2, 2.092, 51



V2CN: computed X-ray diffraction stick pattern (Cu Kα (λ = 1.5418 Å)), based on a PBE-relaxed structure.
Intensities are scaled so that the largest is 100.

Atomic structure:
Lattice parameters (Å, degrees): 2.925 2.925 4.155 90.00 90.00 90.00
Element x y z (fractional)
V: 0.000 0.000 0.000
V: 0.500 0.500 0.500
C: 0.000 0.000 0.500
N: 0.500 0.500 0.000

Most intense lines, 5° ≤ 2θ ≤ 70°, by angle:
two_theta, d (Å), I (rel.)
37.6, 2.392, 100
43.6, 2.077, 41
43.8, 2.068, 80
63.5, 1.466, 45
63.6, 1.462, 22



UFeC2: computed X-ray diffraction stick pattern (Cu Kα (λ = 1.5418 Å)), based on a PBE-relaxed structure.
Intensities are scaled so that the largest is 100.

Atomic structure:
Lattice parameters (Å, degrees): 3.510 3.510 7.131 90.00 90.00 90.00
Element x y z (fractional)
U: 0.250 0.250 0.185
U: 0.750 0.750 0.815
Fe: 0.250 0.750 0.500
Fe: 0.750 0.250 0.500
C: 0.250 0.250 0.651
C: 0.250 0.250 0.861
C: 0.750 0.750 0.139
C: 0.750 0.750 0.349

Most intense lines, 5° ≤ 2θ ≤ 70°, by angle:
two_theta, d (Å), I (rel.)
28.3, 3.150, 100
35.9, 2.502, 42
36.2, 2.482, 26
37.8, 2.377, 24
38.4, 2.344, 28
44.5, 2.037, 40
52.1, 1.755, 24
60.4, 1.533, 27